Computed powder diffractogram
Compound: PmSm2Y6Er2
Radiation: Cu Kα (weighted mean of Kα1 and Kα2)
Structure: a structure optimized by DFT (PBE)
Peak positions follow from Bragg's law for the DFT cell and can differ from measured ones.

Top 8 peaks for 10 to 90 degrees two-theta, low angle first:
30.6 deg, 2.922 Å, rel. 24; 30.9 deg, 2.895 Å, rel. 20; 31.4 deg, 2.847 Å, rel. 37; 32.1 deg, 2.792 Å, rel. 100; 33.7 deg, 2.663 Å, rel. 20; 44.6 deg, 2.030 Å, rel. 14; 46.7 deg, 1.945 Å, rel. 16; 56.3 deg, 1.633 Å, rel. 20

Crystal structure
```
PmSm2Y6Er2
1.0
2.847 -6.016 0.000
2.847 6.016 0.000
0.000 0.000 10.651
Pm Sm Y Er
1 2 6 2
Cartesian
0.000 0.000 0.000 Pm
2.847 1.629 5.326 Sm
2.847 -1.629 5.326 Sm
2.847 4.164 3.083 Y
2.847 4.164 7.568 Y
2.847 0.000 2.234 Y
2.847 0.000 8.417 Y
2.847 -4.164 3.083 Y
2.847 -4.164 7.568 Y
2.847 2.439 0.000 Er
2.847 -2.439 0.000 Er
```